No. 1
Computed X-ray powder pattern of Ag3B2O4 for Cu Kα (weighted mean of Kα1 and Kα2), from a cell relaxed with GGA-PBE.
Neutral-atom scattering factors, no anomalous dispersion.

Atomic structure:
Cell lengths 7.5555, 7.5555, 4.7994 Å; angles 101.03, 101.03, 60.02 degrees
Fractional positions:
Ag1 0.0117 0.2086 0.8254
Ag2 0.2086 0.0117 0.3254
Ag3 0.2348 0.7652 0.7500
Ag4 0.7652 0.2348 0.2500
Ag5 0.7914 0.9883 0.6746
Ag6 0.9883 0.7914 0.1746
B1 0.2853 0.3668 0.2921
B2 0.3668 0.2853 0.7921
B3 0.6332 0.7147 0.2079
B4 0.7147 0.6332 0.7079
O1 0.1096 0.3592 0.2341
O2 0.3592 0.1096 0.7341
O3 0.3705 0.3923 0.5810
O4 0.3923 0.3705 0.0810
O5 0.6077 0.6295 0.9190
O6 0.6295 0.6077 0.4190
O7 0.6408 0.8904 0.2659
O8 0.8904 0.6408 0.7659

The 8 most intense peaks (2θ from 10° to 90°), low angle first:
2θ (°)  I_rel
13.6  100
13.9  41
33.6  37
36.9  30
37.9  26
38.1  35
40.5  48
44.7  24


No. 2
Computed X-ray powder pattern of Sr2ErUAs4 for Cu Kα (weighted mean of Kα1 and Kα2), from a cell relaxed with GGA-PBE.
Neutral-atom scattering factors, no anomalous dispersion.

Atomic structure:
Cell lengths 7.2897, 4.2625, 7.5175 Å; angles 90.00, 108.90, 90.00 degrees
Fractional positions:
Sr1 0.0000 0.0000 0.0000
Sr2 0.5000 0.5000 0.0000
Er1 0.0000 0.5000 0.5000
U1 0.5000 0.0000 0.5000
As1 0.2486 0.0000 0.7168
As2 0.2682 0.5000 0.2854
As3 0.7318 0.5000 0.7146
As4 0.7514 0.0000 0.2832

The 8 most intense peaks (2θ from 10° to 90°), low angle first:
2θ (°)  I_rel
12.4  38
29.5  100
29.7  49
41.8  35
42.0  18
42.4  19
42.8  37
52.6  20


No. 3
Computed X-ray powder pattern of CaPmSc4O8 for Cu Kα (weighted mean of Kα1 and Kα2), from a cell relaxed with GGA-PBE.
Neutral-atom scattering factors, no anomalous dispersion.

Atomic structure:
Cell lengths 6.6040, 6.6040, 6.6040 Å; angles 58.50, 58.50, 58.50 degrees
Fractional positions:
Ca1 0.0000 0.0000 0.0000
Pm1 0.6234 0.6234 0.6234
Sc1 0.1165 0.6257 0.6257
Sc2 0.2453 0.2453 0.2453
Sc3 0.6257 0.1165 0.6257
Sc4 0.6257 0.6257 0.1165
O1 0.3676 0.3676 0.8594
O2 0.3676 0.8594 0.3676
O3 0.3804 0.3804 0.3804
O4 0.4176 0.8705 0.8705
O5 0.8584 0.8584 0.8584
O6 0.8594 0.3676 0.3676
O7 0.8705 0.4176 0.8705
O8 0.8705 0.8705 0.4176

The 8 most intense peaks (2θ from 10° to 90°), low angle first:
2θ (°)  I_rel
16.8  74
19.2  30
27.6  44
31.7  53
32.2  100
39.0  47
55.7  33
57.1  33


No. 4
Computed X-ray powder pattern of Ni8PtRh5 for Cu Kα (weighted mean of Kα1 and Kα2), from a cell relaxed with GGA-PBE.
Neutral-atom scattering factors, no anomalous dispersion.

Atomic structure:
Cell lengths 6.2502, 6.2502, 6.2502 Å; angles 109.32, 109.32, 109.77 degrees
Fractional positions:
Ni1 0.0719 0.3526 0.5948
Ni2 0.1340 0.4340 0.0611
Ni3 0.3730 0.0729 0.9389
Ni4 0.5229 0.9281 0.2807
Ni5 0.5660 0.6270 0.7000
Ni6 0.6474 0.2422 0.7193
Ni7 0.7578 0.4771 0.4052
Ni8 0.9271 0.8660 0.3000
Pt1 0.2500 0.7500 0.5000
Rh1 0.0210 0.7106 0.9123
Rh2 0.2894 0.2016 0.3104
Rh3 0.5000 0.5000 0.0000
Rh4 0.7984 0.1088 0.0877
Rh5 0.8912 0.9790 0.6896

The 8 most intense peaks (2θ from 10° to 90°), low angle first:
2θ (°)  I_rel
30.3  61
39.4  100
39.6  48
43.4  21
47.1  77
47.2  50
57.0  22
60.1  14


No. 5
Computed X-ray powder pattern of Cs2H6PtAu for Cu Kα (weighted mean of Kα1 and Kα2), from a cell relaxed with GGA-PBE.
Neutral-atom scattering factors, no anomalous dispersion.

Atomic structure:
Cell lengths 6.8071, 6.0283, 6.0097 Å; angles 68.87, 55.69, 55.44 degrees
Fractional positions:
Cs1 0.2500 0.2500 0.2500
Cs2 0.7500 0.7500 0.7500
H1 0.1724 0.1724 0.8276
H2 0.1733 0.8267 0.1733
H3 0.2473 0.7527 0.7527
H4 0.7527 0.2473 0.2473
H5 0.8267 0.1733 0.8267
H6 0.8276 0.8276 0.1724
Pt1 0.0000 0.0000 0.0000
Au1 0.5000 0.5000 0.5000

The 8 most intense peaks (2θ from 10° to 90°), low angle first:
2θ (°)  I_rel
26.2  77
30.9  100
37.3  15
37.5  15
49.2  27
49.3  27
53.9  11
57.8  17


No. 6
Computed X-ray powder pattern of Ba2AgF7 for Cu Kα (weighted mean of Kα1 and Kα2), from a cell relaxed with GGA-PBE.
Neutral-atom scattering factors, no anomalous dispersion.

Atomic structure:
Cell lengths 7.3225, 7.3225, 8.7399 Å; angles 119.53, 119.53, 67.93 degrees
Fractional positions:
Ba1 0.0612 0.2792 0.1679
Ba2 0.2792 0.0612 0.6679
Ba3 0.7208 0.9388 0.3321
Ba4 0.9388 0.7208 0.8321
Ag1 0.4151 0.5849 0.2500
Ag2 0.5849 0.4151 0.7500
F1 0.0493 0.9507 0.7500
F2 0.1636 0.6796 0.3547
F3 0.2027 0.4021 0.9884
F4 0.2903 0.4831 0.7727
F5 0.3204 0.8364 0.1453
F6 0.4021 0.2027 0.4884
F7 0.4831 0.2903 0.2727
F8 0.5169 0.7097 0.7273
F9 0.5979 0.7973 0.5116
F10 0.6796 0.1636 0.8547
F11 0.7097 0.5169 0.2273
F12 0.7973 0.5979 0.0116
F13 0.8364 0.3204 0.6453
F14 0.9507 0.0493 0.2500

The 8 most intense peaks (2θ from 10° to 90°), low angle first:
2θ (°)  I_rel
23.8  46
24.8  36
25.2  100
25.3  45
26.2  34
29.5  44
40.0  35
40.5  57


No. 7
Computed X-ray powder pattern of Er2ScGa2 for Cu Kα (weighted mean of Kα1 and Kα2), from a cell relaxed with GGA-PBE.
Neutral-atom scattering factors, no anomalous dispersion.

Atomic structure:
Cell lengths 4.3206, 6.1876, 8.7793 Å; angles 90.00, 90.00, 90.00 degrees
Fractional positions:
Er1 0.0000 0.0000 0.2016
Er2 0.0000 0.0000 0.7984
Er3 0.5000 0.5000 0.2984
Er4 0.5000 0.5000 0.7016
Sc1 0.0000 0.5000 0.0000
Sc2 0.5000 0.0000 0.5000
Ga1 0.0000 0.2892 0.5000
Ga2 0.0000 0.7108 0.5000
Ga3 0.5000 0.2108 0.0000
Ga4 0.5000 0.7892 0.0000

The 8 most intense peaks (2θ from 10° to 90°), low angle first:
2θ (°)  I_rel
25.1  48
32.5  100
33.9  26
35.5  40
37.1  79
41.8  27
64.7  28
70.9  23


No. 8
Computed X-ray powder pattern of PaFe2Si2B for Cu Kα (weighted mean of Kα1 and Kα2), from a cell relaxed with GGA-PBE.
Neutral-atom scattering factors, no anomalous dispersion.

Atomic structure:
Cell lengths 3.9015, 3.9015, 5.2050 Å; angles 90.00, 90.00, 90.00 degrees
Fractional positions:
Pa1 0.0000 0.0000 0.0000
Fe1 0.0000 0.5000 0.5000
Fe2 0.5000 0.0000 0.5000
Si1 0.5000 0.5000 0.2285
Si2 0.5000 0.5000 0.7715
B1 0.0000 0.0000 0.5000

The 8 most intense peaks (2θ from 10° to 90°), low angle first:
2θ (°)  I_rel
22.8  43
28.6  71
34.5  22
36.9  100
41.7  50
46.6  36
55.5  24
64.3  28